Record 1
Computed powder diffractogram of AgSbSe4 for λ = 1.5418 Å (Cu Kα), from DFT lattice parameters and positions (GGA-PBE).
No peak broadening, texture or thermal motion is included.

Atomic structure:
a = 5.147 Å, b = 7.837 Å, c = 7.834 Å
α = 90.00°, β = 91.34°, γ = 90.00°
Space group P2/c (No. 13)
Asymmetric unit:
Ag1 0.000 0.248 0.250 (multiplicity 2)
Sb1 0.500 0.249 0.750 (multiplicity 2)
Se1 0.225 0.463 0.464 (multiplicity 4)
Se2 0.227 0.038 0.038 (multiplicity 4)

Top 8 peaks for 10° ≤ 2θ ≤ 90°, by intensity:
Position (°2θ), d (Å), I (rel.), hkl
32.32, 2.770, 100, 0 2 2
23.40, 3.802, 53, 1 1 -1
23.80, 3.739, 52, 1 1 1
42.01, 2.151, 51, 2 2 0
46.36, 1.958, 27, 0 0 4
41.54, 2.174, 27, 2 0 -2
42.49, 2.127, 25, 2 0 2
63.64, 1.462, 12, 2 2 -4



Record 2
Computed powder diffractogram of Ag4Sb2Se5 for λ = 1.5418 Å (Cu Kα), from DFT lattice parameters and positions (GGA-PBE).
No peak broadening, texture or thermal motion is included.

Atomic structure:
a = 4.3408 Å, b = 4.3408 Å, c = 53.0451 Å
α = 90.00°, β = 90.00°, γ = 120.00°
Space group R-3m (No. 166, hexagonal axes)
Asymmetric unit:
Ag1 0.0000 0.0000 0.0844 (multiplicity 6)
Ag2 0.0000 0.0000 0.1896 (multiplicity 6)
Sb1 0.0000 0.0000 0.3648 (multiplicity 6)
Se1 0.0000 0.0000 0.0000 (multiplicity 3)
Se2 0.0000 0.0000 0.1327 (multiplicity 6)
Se3 0.0000 0.0000 0.2738 (multiplicity 6)

Top 8 peaks for 10° ≤ 2θ ≤ 90°, by intensity:
Position (°2θ), d (Å), I (rel.), hkl
30.14, 2.965, 100, 0 1 11
41.61, 2.170, 99, 1 1 0
44.65, 2.030, 47, 1 0 22
23.73, 3.750, 28, 1 0 1
24.61, 3.617, 26, 1 0 4
33.58, 2.669, 25, 0 1 14
52.35, 1.748, 22, 1 1 18
52.23, 1.751, 21, 2 0 11